For Nd3ErW6O24, a DFT-relaxed cell (PBE+U, Alexandria) gives the theoretical X-ray powder pattern in this record (Cu Kα, 1.54184 Å).
Lines closer than 0.1° are merged.

Cell and atoms:
Cell: 7.0343 7.0481 11.6014 Å, 100.88 100.49 111.84°
Space group P1 (No. 1)
Unique sites:
Nd1 0.0000 0.0000 0.0000 x1
Nd2 0.0823 0.5768 0.1904 x1
Nd3 0.3235 0.3227 0.6879 x1
Er1 0.7504 0.2412 0.5035 x1
W1 0.1745 0.1568 0.3488 x1
W2 0.2818 0.7427 0.5450 x1
W3 0.5037 0.5394 0.0469 x1
W4 0.5848 0.0384 0.1500 x1
W5 0.7799 0.8199 0.6361 x1
W6 0.9018 0.4211 0.8436 x1
O1 0.1092 0.4709 0.5545 x1
O2 0.1228 0.9543 0.2061 x1
O3 0.1389 0.7489 0.3985 x1
O4 0.1583 0.4907 0.8149 x1
O5 0.2293 0.3746 0.0546 x1
O6 0.2512 0.4152 0.3222 x1
O7 0.2627 0.9432 0.6557 x1
O8 0.3844 0.0626 0.0426 x1
O9 0.3838 0.2051 0.4868 x1
O10 0.4437 0.7605 0.1728 x1
O11 0.5023 0.6758 0.6611 x1
O12 0.5059 0.3964 0.8977 x1
O13 0.5616 0.8928 0.5206 x1
O14 0.5926 0.1815 0.3015 x1
O15 0.6415 0.8166 0.0225 x1
O16 0.7028 0.3610 0.6974 x1
O17 0.7038 0.5179 0.1557 x1
O18 0.7974 0.6126 0.5294 x1
O19 0.8291 0.1707 0.8786 x1
O20 0.8595 0.2012 0.1409 x1
O21 0.9212 0.8248 0.7866 x1
O22 0.9222 0.0846 0.3841 x1
O23 0.9468 0.0963 0.6296 x1
O24 0.9608 0.6301 0.9856 x1

Top 10 peaks for 2θ from 10° to 80°, by intensity:
3.268 Å, I 100; 3.088 Å, I 36; 3.099 Å, I 35; 2.916 Å, I 27; 1.972 Å, I 25; 1.978 Å, I 21; 5.474 Å, I 16; 2.692 Å, I 16; 2.666 Å, I 16; 4.850 Å, I 15